[1]
Computed PXRD pattern
Compound: AlFe3F15
Radiation: λ = 1.5418 Å (Cu Kα)
Structure: a cell relaxed with GGA+U

Peak list (6 most intense, 2θ from 5° to 70°, sorted by position)
- 17.6 deg, d = 5.028 Å, I 100, (1 1 0)
- 23.7 deg, d = 3.754 Å, I 82, (2 0 0)
- 26.3 deg, d = 3.387 Å, I 83, (0 2 0)
- 31.1 deg, d = 2.875 Å, I 54, (1 1 -3)
- 40.4 deg, d = 2.234 Å, I 51, (2 2 -3)
- 49.5 deg, d = 1.840 Å, I 37, (1 3 -3)

Cell and atoms:
Cell lengths 8.292, 6.774, 9.534 Å; angles 90.00, 115.12, 90.00 degrees
Space group C2/m (No. 12)
Asymmetric unit:
Al 0.000 0.000 0.000 [2 per cell]
Fe 0.000 0.500 0.500 [2 per cell]
Fe 0.005 0.500 0.179 [4 per cell]
F 0.000 0.000 0.500 [2 per cell]
F 0.000 0.304 0.000 [4 per cell]
F 0.012 0.320 0.667 [8 per cell]
F 0.016 0.000 0.185 [4 per cell]
F 0.234 0.500 0.573 [4 per cell]
F 0.244 0.000 0.069 [4 per cell]
F 0.247 0.500 0.266 [4 per cell]

---

[2]
Computed PXRD pattern
Compound: AlFe4Hg2O2F
Radiation: λ = 1.5418 Å (Cu Kα)
Structure: a cell relaxed with GGA+U

Peak list (6 most intense, 2θ from 5° to 70°, sorted by position)
- 22.7 deg, d = 3.917 Å, I 23, (1 1 2)
- 26.0 deg, d = 3.428 Å, I 100, (2 1 1)
- 33.3 deg, d = 2.688 Å, I 34, (0 0 4)
- 35.3 deg, d = 2.546 Å, I 48, (2 1 3)
- 41.1 deg, d = 2.195 Å, I 26, (3 2 1)
- 48.1 deg, d = 1.892 Å, I 47, (4 0 2)

Cell and atoms:
Cell lengths 8.086, 8.086, 10.753 Å; angles 90.00, 90.00, 90.00 degrees
Space group I4cm (No. 108)
Asymmetric unit:
Al 0.000 0.000 0.000 [4 per cell]
Fe 0.008 0.251 0.312 [16 per cell]
Hg 0.128 0.372 0.052 [8 per cell]
O 0.241 0.259 0.790 [8 per cell]
F 0.000 0.000 0.171 [4 per cell]

---

[3]
Computed PXRD pattern
Compound: AlFe4Hg2O2F
Radiation: λ = 1.5418 Å (Cu Kα)
Structure: a cell relaxed with GGA+U

Peak list (6 most intense, 2θ from 5° to 70°, sorted by position)
- 20.2 deg, d = 4.395 Å, I 57, (2 0 0)
- 27.9 deg, d = 3.201 Å, I 62, (2 0 2)
- 34.7 deg, d = 2.588 Å, I 100, (2 2 2)
- 41.1 deg, d = 2.197 Å, I 27, (4 0 0)
- 43.9 deg, d = 2.063 Å, I 23, (2 0 4)
- 50.4 deg, d = 1.812 Å, I 19, (4 2 2)

Cell and atoms:
Cell lengths 8.790, 8.790, 9.345 Å; angles 90.00, 90.00, 90.00 degrees
Space group I4cm (No. 108)
Asymmetric unit:
Al 0.000 0.000 0.000 [4 per cell]
Fe 0.022 0.253 0.176 [16 per cell]
Hg 0.226 0.274 0.449 [8 per cell]
O 0.120 0.380 0.764 [8 per cell]
F 0.000 0.000 0.310 [4 per cell]